Structure and theoretical X-ray diffraction stick pattern of CeNiTe2O8 (a crystal structure in Alexandria, relaxed with GGA+U; Cu Ka).

Cell and atoms:
a = 6.1705 Å, b = 6.1705 Å, c = 5.9780 Å
α = 90.00°, β = 90.00°, γ = 120.00°
Space group P-3m1 (No. 164)
Unique sites:
Ce: 0.0000 0.0000 0.0000 (multiplicity 1)
Ni: 0.0000 0.0000 0.5000 (multiplicity 1)
Te: 0.3333 0.6667 0.6665 (multiplicity 2)
O: 0.1501 0.3003 0.7326 (multiplicity 6)
O: 0.3333 0.6667 0.3640 (multiplicity 2)

Principal peaks in the range 15° ≤ 2θ ≤ 90°, in order of rising 2θ:
2θ 22.3, I = 100
2θ 28.9, I = 98
2θ 34.4, I = 50
2θ 45.5, I = 38
2θ 47.5, I = 30
2θ 54.9, I = 50
2θ 64.8, I = 21
2θ 71.0, I = 21